# Li5Mn3Nb2O10
Simulated powder diffractogram, Cu Kα (weighted mean of Kα1 and Kα2). Input: a crystal structure in Alexandria, relaxed with PBE+U.
Peak positions follow from Bragg's law for the DFT cell and can differ from measured ones.

Structure:
```
data_Li5Mn3Nb2O10
_symmetry_space_group_name_H-M 'P -1'
_symmetry_Int_Tables_number 2
_symmetry_space_group_name_Hall '-P 1'
_cell_length_a 5.3180
_cell_length_b 5.3637
_cell_length_c 8.1239
_cell_angle_alpha 71.88
_cell_angle_beta 72.19
_cell_angle_gamma 79.63
loop_
_atom_site_label
_atom_site_fract_x
_atom_site_fract_y
_atom_site_fract_z
Li1 0.0000 0.0000 0.0000
Li2 0.4816 0.8785 0.7227
Li3 0.4900 0.7295 0.0983
Mn1 0.0044 0.1902 0.6051
Mn2 0.5000 0.5000 0.5000
Nb1 0.0146 0.4054 0.1849
O1 0.2307 0.8244 0.5751
O2 0.2369 0.2759 0.7566
O3 0.2366 0.6520 0.9562
O4 0.2386 0.0790 0.1510
O5 0.2410 0.4504 0.3403
```

The 10 most intense peaks (2θ = 10–90°), by angle:
2θ = 17.47°, intensity 51, hkl 0 1 0
2θ = 17.59°, intensity 100, hkl 1 0 0
2θ = 21.80°, intensity 29, hkl 1 1 1
2θ = 28.71°, intensity 21, hkl -1 1 1
2θ = 33.54°, intensity 21, hkl 0 1 -2
2θ = 35.70°, intensity 26, hkl 1 -1 2
2θ = 40.40°, intensity 53, hkl 1 1 -2
2θ = 41.65°, intensity 50, hkl -1 2 1
2θ = 41.91°, intensity 50, hkl 2 1 3
2θ = 59.27°, intensity 30, hkl 3 2 1